(1)
CaAc5Sn5: simulated powder X-ray diffraction pattern (Cu Kα, 1.54184 Å), based on a crystal structure in Alexandria, relaxed with PBE.
No peak broadening, texture or thermal motion is included.

Most intense lines, 2θ from 10° to 90°, in order of rising 2θ:
2θ (°), I_rel
26.48, 40
27.32, 100
27.54, 56
28.58, 31
29.14, 47
29.62, 42
32.37, 48
39.18, 44
40.37, 40
42.85, 45

Atomic structure:
Cell lengths 9.236, 9.236, 7.670 Å; angles 105.11, 105.11, 41.39 degrees
Element x y z (fractional)
Ca (0.000, 0.000, 0.000)
Ac (0.000, 0.000, 0.500)
Ac (0.315, 0.315, 0.720)
Ac (0.355, 0.355, 0.235)
Ac (0.645, 0.645, 0.765)
Ac (0.685, 0.685, 0.280)
Sn (0.164, 0.164, 0.341)
Sn (0.166, 0.166, 0.929)
Sn (0.500, 0.500, 0.000)
Sn (0.834, 0.834, 0.071)
Sn (0.836, 0.836, 0.659)

---

(2)
NaLiP2S6: simulated powder X-ray diffraction pattern (Cu Kα, 1.54184 Å), based on a crystal structure in Alexandria, relaxed with PBE.
No peak broadening, texture or thermal motion is included.

Most intense lines, 2θ from 10° to 90°, in order of rising 2θ:
2θ (°), I_rel
14.03, 38
14.83, 29
20.63, 100
22.95, 37
23.42, 53
28.23, 56
29.96, 50
30.08, 30
31.68, 48
49.86, 47

Atomic structure:
Cell lengths 8.850, 8.850, 6.115 Å; angles 100.94, 100.94, 90.96 degrees
Element x y z (fractional)
Na (0.113, 0.887, 0.750)
Na (0.887, 0.113, 0.250)
Li (0.270, 0.730, 0.250)
Li (0.730, 0.270, 0.750)
P (0.202, 0.367, 0.771)
P (0.367, 0.202, 0.271)
P (0.633, 0.798, 0.729)
P (0.798, 0.633, 0.229)
S (0.032, 0.203, 0.704)
S (0.146, 0.580, 0.878)
S (0.203, 0.032, 0.204)
S (0.302, 0.404, 0.486)
S (0.404, 0.302, 0.986)
S (0.420, 0.854, 0.622)
S (0.580, 0.146, 0.378)
S (0.596, 0.698, 0.014)
S (0.698, 0.596, 0.514)
S (0.797, 0.968, 0.796)
S (0.854, 0.420, 0.122)
S (0.968, 0.797, 0.296)

---

(3)
Ac2AlI: simulated powder X-ray diffraction pattern (Cu Kα, 1.54184 Å), based on a crystal structure in Alexandria, relaxed with PBE.
No peak broadening, texture or thermal motion is included.

Most intense lines, 2θ from 10° to 90°, in order of rising 2θ:
2θ (°), I_rel
18.19, 16
25.32, 26
27.46, 100
28.98, 11
34.84, 44
43.24, 28
51.98, 25
56.69, 11
58.08, 17
69.86, 13

Atomic structure:
Cell lengths 4.185, 4.185, 29.270 Å; angles 90.00, 90.00, 120.00 degrees
Element x y z (fractional)
Ac (0.000, 0.000, 0.241)
Ac (0.000, 0.000, 0.759)
Ac (0.333, 0.667, 0.425)
Ac (0.333, 0.667, 0.908)
Ac (0.667, 0.333, 0.092)
Ac (0.667, 0.333, 0.575)
Al (0.000, 0.000, 0.500)
Al (0.333, 0.667, 0.167)
Al (0.667, 0.333, 0.833)
I (0.000, 0.000, 0.000)
I (0.333, 0.667, 0.667)
I (0.667, 0.333, 0.333)